[1]
SrCa3Cu2O6: simulated powder X-ray diffraction pattern (Cu Kα, 1.54184 Å), based on the GGA-PBE geometry in Alexandria.
No peak broadening, texture or thermal motion is included.

Structure:
Lattice parameters (Å, degrees): 6.6744 6.6744 6.7152 104.53 104.53 33.65
Positions (direct):
Sr  0.0000  0.0000  0.0000
Ca  0.2962  0.2962  0.1508
Ca  0.2972  0.2972  0.6454
Ca  0.9991  0.9991  0.4985
Cu  0.6475  0.6475  0.8139
Cu  0.6495  0.6495  0.3334
O  0.1511  0.1511  0.8161
O  0.1523  0.1523  0.3335
O  0.4878  0.4878  0.2547
O  0.4880  0.4880  0.7322
O  0.8040  0.8040  0.9023
O  0.8090  0.8090  0.4039

Most intense lines, 2θ from 5° to 70°, in order of rising 2θ:
2θ/deg  I (rel.)
14.37  238
31.79  518
34.49  681
35.42  1000
44.06  276
47.04  284
54.67  167
57.76  327
59.63  263
66.42  139


[2]
SrCa2CuO4: simulated powder X-ray diffraction pattern (Cu Kα, 1.54184 Å), based on the GGA-PBE geometry in Alexandria.
No peak broadening, texture or thermal motion is included.

Structure:
Lattice parameters (Å, degrees): 6.0108 6.0108 11.6668 90.00 90.00 147.09
Positions (direct):
Sr  0.1132  0.8868  0.7500
Sr  0.8868  0.1132  0.2500
Ca  0.3710  0.6290  0.5458
Ca  0.3710  0.6290  0.9542
Ca  0.6290  0.3710  0.0458
Ca  0.6290  0.3710  0.4542
Cu  0.1536  0.8464  0.2500
Cu  0.8464  0.1536  0.7500
O  0.0000  0.0000  0.0000
O  0.0000  0.0000  0.5000
O  0.2660  0.7340  0.1234
O  0.2660  0.7340  0.3766
O  0.4409  0.5591  0.7500
O  0.5591  0.4409  0.2500
O  0.7340  0.2660  0.6234
O  0.7340  0.2660  0.8766

Most intense lines, 2θ from 5° to 70°, in order of rising 2θ:
2θ/deg  I (rel.)
15.19  466
30.65  475
31.03  364
31.39  724
36.07  402
38.55  1000
44.18  304
50.29  229
53.20  207
53.85  219


[3]
Sr3CaCu2O6: simulated powder X-ray diffraction pattern (Cu Kα, 1.54184 Å), based on the GGA-PBE geometry in Alexandria.
No peak broadening, texture or thermal motion is included.

Structure:
Lattice parameters (Å, degrees): 6.8175 6.8175 6.9720 104.79 104.79 33.55
Positions (direct):
Sr  0.0000  0.0000  0.0000
Sr  0.0020  0.0020  0.4957
Sr  0.7060  0.7060  0.8507
Ca  0.7068  0.7068  0.3500
Cu  0.3523  0.3523  0.6649
Cu  0.3534  0.3534  0.1824
O  0.1974  0.1974  0.1067
O  0.1982  0.1982  0.5852
O  0.5082  0.5082  0.7516
O  0.5127  0.5127  0.2536
O  0.8494  0.8494  0.6630
O  0.8500  0.8500  0.1806

Most intense lines, 2θ from 5° to 70°, in order of rising 2θ:
2θ/deg  I (rel.)
31.17  600
33.42  728
34.37  1000
43.14  239
45.15  155
46.13  269
52.50  174
56.28  331
58.16  289
62.33  174


[4]
SrCaCu2O4: simulated powder X-ray diffraction pattern (Cu Kα, 1.54184 Å), based on the GGA-PBE geometry in Alexandria.
No peak broadening, texture or thermal motion is included.

Structure:
Lattice parameters (Å, degrees): 5.1556 5.1556 5.1556 115.01 115.01 98.88
Positions (direct):
Sr  0.0000  0.0000  0.0000
Ca  0.5000  0.5000  0.0000
Cu  0.2500  0.7500  0.5000
Cu  0.7500  0.2500  0.5000
O  0.0000  0.0000  0.5000
O  0.0000  0.5000  0.0000
O  0.5000  0.0000  0.0000
O  0.5000  0.5000  0.5000

Most intense lines, 2θ from 5° to 70°, in order of rising 2θ:
2θ/deg  I (rel.)
20.80  104
26.59  45
32.32  354
35.24  1000
38.75  46
46.36  336
54.76  97
59.55  404
65.04  98
67.66  96


[5]
SrCa2Cu3O6: simulated powder X-ray diffraction pattern (Cu Kα, 1.54184 Å), based on the GGA-PBE geometry in Alexandria.
No peak broadening, texture or thermal motion is included.

Structure:
Lattice parameters (Å, degrees): 3.7941 3.7941 11.8229 90.00 90.00 90.00
Positions (direct):
Sr  0.0000  0.0000  0.0000
Ca  0.0000  0.0000  0.2891
Ca  0.0000  0.0000  0.7109
Cu  0.5000  0.5000  0.1601
Cu  0.5000  0.5000  0.5000
Cu  0.5000  0.5000  0.8399
O  0.0000  0.5000  0.1509
O  0.0000  0.5000  0.8491
O  0.5000  0.0000  0.1509
O  0.5000  0.0000  0.8491
O  0.5000  0.5000  0.3495
O  0.5000  0.5000  0.6505

Most intense lines, 2θ from 5° to 70°, in order of rising 2θ:
2θ/deg  I (rel.)
7.48  634
24.64  141
32.76  1000
33.40  559
38.61  199
46.06  119
47.95  356
58.08  120
59.30  346
68.68  125


[6]
Ca2TaCuO6: simulated powder X-ray diffraction pattern (Cu Kα, 1.54184 Å), based on the GGA-PBE geometry in Alexandria.
No peak broadening, texture or thermal motion is included.

Structure:
Lattice parameters (Å, degrees): 5.6249 7.5617 5.8985 90.00 99.97 90.00
Positions (direct):
Ca  0.0127  0.2500  0.0744
Ca  0.4646  0.7500  0.4413
Ca  0.5354  0.2500  0.5587
Ca  0.9873  0.7500  0.9256
Ta  0.5000  0.0000  0.0000
Ta  0.5000  0.5000  0.0000
Cu  0.0000  0.0000  0.5000
Cu  0.0000  0.5000  0.5000
O  0.1016  0.2500  0.4734
O  0.2298  0.5491  0.1616
O  0.2298  0.9509  0.1616
O  0.2995  0.5467  0.6857
O  0.2995  0.9533  0.6857
O  0.3957  0.2500  0.9684
O  0.6043  0.7500  0.0316
O  0.7005  0.0467  0.3143
O  0.7005  0.4533  0.3143
O  0.7702  0.0491  0.8384
O  0.7702  0.4509  0.8384
O  0.8984  0.7500  0.5266

Most intense lines, 2θ from 5° to 70°, in order of rising 2θ:
2θ/deg  I (rel.)
15.25  380
16.00  357
20.14  574
23.53  384
24.04  408
30.78  515
31.16  1000
32.31  413
33.89  738
40.94  330


[7]
CaCu4Te3O12: simulated powder X-ray diffraction pattern (Cu Kα, 1.54184 Å), based on the GGA-PBE geometry in Alexandria.
No peak broadening, texture or thermal motion is included.

Structure:
Lattice parameters (Å, degrees): 6.8835 6.8835 6.8835 107.18 107.18 107.18
Positions (direct):
Ca  0.0000  0.0000  0.0000
Cu  0.1099  0.5000  0.8901
Cu  0.5000  0.5000  0.5000
Cu  0.5000  0.8901  0.1099
Cu  0.8901  0.1099  0.5000
Te  0.0000  0.5687  0.4313
Te  0.4313  0.0000  0.5687
Te  0.5687  0.4313  0.0000
O  0.0054  0.6514  0.7311
O  0.0971  0.9029  0.5000
O  0.2689  0.3486  0.9946
O  0.3278  0.6722  0.5000
O  0.3486  0.9946  0.2689
O  0.5000  0.0971  0.9029
O  0.5000  0.3278  0.6722
O  0.6514  0.7311  0.0054
O  0.6722  0.5000  0.3278
O  0.7311  0.0054  0.6514
O  0.9029  0.5000  0.0971
O  0.9946  0.2689  0.3486

Most intense lines, 2θ from 5° to 70°, in order of rising 2θ:
2θ/deg  I (rel.)
16.00  423
21.89  252
27.23  791
27.89  337
29.93  1000
35.73  524
38.98  405
41.37  317
47.70  243
53.45  303


[8]
CaTlCuO2: simulated powder X-ray diffraction pattern (Cu Kα, 1.54184 Å), based on the GGA-PBE geometry in Alexandria.
No peak broadening, texture or thermal motion is included.

Structure:
Lattice parameters (Å, degrees): 6.8236 6.8236 5.5142 90.00 90.00 120.86
Positions (direct):
Ca  0.2500  0.2500  0.0000
Ca  0.7500  0.7500  0.0000
Tl  0.2500  0.7500  0.5243
Tl  0.7500  0.2500  0.4757
Cu  0.0000  0.0000  0.5000
Cu  0.5000  0.5000  0.5000
O  0.0827  0.9173  0.7830
O  0.4173  0.5827  0.7830
O  0.5827  0.4173  0.2170
O  0.9173  0.0827  0.2170

Most intense lines, 2θ from 5° to 70°, in order of rising 2θ:
2θ/deg  I (rel.)
16.07  1000
22.00  646
26.47  464
30.12  427
30.52  226
31.12  825
32.47  297
34.32  361
43.86  682
44.88  326